1.
Diffraction record for Tb2Dy5Sc. The powder XRD pattern is computed, not measured: it uses a cell relaxed with PBE and Cu Kα (λ = 1.5418 Å).
Neutral-atom scattering factors, no anomalous dispersion.

Cell and atoms:
Cell: 8.356 7.168 6.642 Å, 74.35 55.69 49.95°
Positions (direct):
Tb 0.245 0.755 0.245
Tb 0.755 0.245 0.755
Dy 0.169 0.663 0.831
Dy 0.248 0.248 0.252
Dy 0.663 0.169 0.337
Dy 0.664 0.664 0.336
Dy 0.748 0.748 0.752
Sc 0.165 0.165 0.835

Peak list (12 most intense, 10° ≤ 2θ ≤ 90°, low angle first)
| 2theta | I_rel |
| --- | --- |
| 16.3 | 4 |
| 28.8 | 24 |
| 32.0 | 24 |
| 33.0 | 100 |
| 43.6 | 16 |
| 51.0 | 20 |
| 57.7 | 20 |
| 61.5 | 22 |
| 62.1 | 16 |
| 80.5 | 8 |
| 84.4 | 14 |
| 88.7 | 8 |

---

2.
Diffraction record for CuGe. The powder XRD pattern is computed, not measured: it uses a cell relaxed with PBE and Cu Kα (λ = 1.5418 Å).
Neutral-atom scattering factors, no anomalous dispersion.

Cell and atoms:
Cell: 6.373 6.373 6.373 Å, 98.07 98.07 135.99°
Positions (direct):
Cu 0.178 0.678 0.855
Cu 0.322 0.178 0.500
Cu 0.678 0.822 0.500
Cu 0.822 0.322 0.145
Ge 0.119 0.381 0.500
Ge 0.381 0.881 0.262
Ge 0.619 0.119 0.738
Ge 0.881 0.619 0.500

Peak list (12 most intense, 10° ≤ 2θ ≤ 90°, low angle first)
| 2theta | I_rel |
| --- | --- |
| 15.0 | 100 |
| 21.3 | 21 |
| 33.9 | 38 |
| 37.7 | 36 |
| 40.8 | 16 |
| 43.4 | 65 |
| 46.1 | 18 |
| 48.8 | 30 |
| 51.6 | 22 |
| 58.7 | 15 |
| 61.0 | 14 |
| 87.4 | 16 |

---

3.
Diffraction record for Rb6Na4Tl13. The powder XRD pattern is computed, not measured: it uses a cell relaxed with PBE and Cu Kα (λ = 1.5418 Å).
Neutral-atom scattering factors, no anomalous dispersion.

Cell and atoms:
Cell: 10.298 10.298 10.298 Å, 109.47 109.47 109.47°
Positions (direct):
Rb 0.171 0.500 0.671
Rb 0.329 0.829 0.500
Rb 0.500 0.329 0.829
Rb 0.500 0.671 0.171
Rb 0.671 0.171 0.500
Rb 0.829 0.500 0.329
Na 0.000 0.000 0.500
Na 0.000 0.500 0.000
Na 0.500 0.000 0.000
Na 0.500 0.500 0.500
Tl 0.000 0.000 0.000
Tl 0.097 0.239 0.858
Tl 0.142 0.381 0.239
Tl 0.142 0.903 0.761
Tl 0.239 0.142 0.381
Tl 0.239 0.858 0.097
Tl 0.381 0.239 0.142
Tl 0.619 0.761 0.858
Tl 0.761 0.142 0.903
Tl 0.761 0.858 0.619
Tl 0.858 0.097 0.239
Tl 0.858 0.619 0.761
Tl 0.903 0.761 0.142

Peak list (12 most intense, 10° ≤ 2θ ≤ 90°, low angle first)
| 2theta | I_rel |
| --- | --- |
| 10.5 | 100 |
| 28.1 | 89 |
| 30.1 | 24 |
| 31.9 | 33 |
| 33.7 | 81 |
| 35.4 | 44 |
| 37.0 | 16 |
| 38.6 | 20 |
| 47.1 | 25 |
| 55.7 | 25 |
| 58.0 | 22 |
| 63.6 | 15 |

---

4.
Diffraction record for LiMg2SiO4. The powder XRD pattern is computed, not measured: it uses a cell relaxed with PBE and Cu Kα (λ = 1.5418 Å).
Neutral-atom scattering factors, no anomalous dispersion.

Cell and atoms:
Cell: 5.482 5.482 5.482 Å, 129.37 129.37 74.42°
Positions (direct):
Li 0.000 0.000 0.000
Mg 0.250 0.750 0.500
Mg 0.750 0.250 0.500
Si 0.500 0.500 0.000
O 0.181 0.181 0.586
O 0.405 0.819 0.000
O 0.595 0.595 0.414
O 0.819 0.405 0.000

Peak list (12 most intense, 10° ≤ 2θ ≤ 90°, low angle first)
| 2theta | I_rel |
| --- | --- |
| 21.5 | 45 |
| 34.0 | 100 |
| 38.4 | 3 |
| 43.8 | 3 |
| 44.4 | 4 |
| 53.9 | 7 |
| 55.4 | 17 |
| 57.7 | 31 |
| 66.6 | 19 |
| 70.7 | 8 |
| 73.7 | 4 |
| 82.3 | 4 |

---

5.
Diffraction record for ThSnI6. The powder XRD pattern is computed, not measured: it uses a cell relaxed with PBE and Cu Kα (λ = 1.5418 Å).
Neutral-atom scattering factors, no anomalous dispersion.

Cell and atoms:
Cell: 7.796 7.796 14.172 Å, 90.00 90.00 120.00°
Positions (direct):
Th 0.333 0.667 0.250
Th 0.667 0.333 0.750
Sn 0.000 0.000 0.000
Sn 0.000 0.000 0.500
I 0.005 0.345 0.374
I 0.005 0.660 0.126
I 0.340 0.345 0.126
I 0.340 0.995 0.374
I 0.345 0.005 0.874
I 0.345 0.340 0.626
I 0.655 0.660 0.374
I 0.655 0.995 0.126
I 0.660 0.005 0.626
I 0.660 0.655 0.874
I 0.995 0.340 0.874
I 0.995 0.655 0.626

Peak list (12 most intense, 10° ≤ 2θ ≤ 90°, low angle first)
| 2theta | I_rel |
| --- | --- |
| 14.5 | 36 |
| 18.1 | 29 |
| 23.0 | 10 |
| 26.1 | 100 |
| 34.2 | 59 |
| 40.1 | 50 |
| 44.9 | 23 |
| 48.4 | 18 |
| 53.7 | 16 |
| 64.6 | 14 |
| 67.3 | 19 |
| 69.0 | 17 |

---

6.
Diffraction record for K6VAs4. The powder XRD pattern is computed, not measured: it uses a cell relaxed with PBE and Cu Kα (λ = 1.5418 Å).
Neutral-atom scattering factors, no anomalous dispersion.

Cell and atoms:
Cell: 10.311 10.311 8.214 Å, 90.00 90.00 120.00°
Positions (direct):
K 0.062 0.531 0.000
K 0.144 0.288 0.318
K 0.144 0.856 0.318
K 0.288 0.144 0.818
K 0.469 0.531 0.000
K 0.469 0.938 0.000
K 0.531 0.062 0.500
K 0.531 0.469 0.500
K 0.712 0.856 0.318
K 0.856 0.144 0.818
K 0.856 0.712 0.818
K 0.938 0.469 0.500
V 0.333 0.667 0.610
V 0.667 0.333 0.110
As 0.205 0.411 0.700
As 0.205 0.795 0.700
As 0.333 0.667 0.322
As 0.411 0.205 0.200
As 0.589 0.795 0.700
As 0.667 0.333 0.822
As 0.795 0.205 0.200
As 0.795 0.589 0.200

Peak list (12 most intense, 10° ≤ 2θ ≤ 90°, low angle first)
| 2theta | I_rel |
| --- | --- |
| 14.7 | 72 |
| 19.9 | 28 |
| 22.7 | 26 |
| 28.6 | 100 |
| 29.6 | 99 |
| 32.0 | 90 |
| 34.3 | 59 |
| 34.4 | 47 |
| 34.8 | 82 |
| 38.6 | 24 |
| 52.1 | 25 |
| 56.1 | 67 |